For Ac4SiSe3, a cell relaxed with GGA-PBE gives the calculated X-ray diffraction stick pattern in this record (Cu Kα (weighted mean of Kα1 and Kα2)).
Neutral-atom scattering factors, no anomalous dispersion.

The 6 most intense peaks (5 to 70 degrees two-theta), most intense first:
| two_theta | I/Imax |
| --- | --- |
| 27.96 | 100.0 |
| 39.95 | 77.2 |
| 24.15 | 52.6 |
| 65.39 | 36.1 |
| 49.47 | 27.9 |
| 47.23 | 27.7 |

Cell and atoms:
```
Ac4SiSe3
1.0
4.5109 -6.3824 0.0000
4.5109 6.3824 0.0000
0.0000 0.0000 4.5163
Ac Si Se
4 1 3
direct
0.2399 0.2399 0.5000 Ac
0.2437 0.7563 0.0000 Ac
0.7563 0.2437 0.0000 Ac
0.7601 0.7601 0.5000 Ac
0.0000 0.0000 0.0000 Si
0.0000 0.5000 0.5000 Se
0.5000 0.0000 0.5000 Se
0.5000 0.5000 0.0000 Se
```